# 1
Computed powder X-ray diffraction pattern of Cd2NiBiB for Cu Kα (λ = 1.5418 Å), from a structure optimized by DFT (PBE).
No peak broadening, texture or thermal motion is included.

Most intense lines, 2θ from 10° to 90°, in order of rising 2θ:
2θ/deg, d_spacing, I_rel
17.9, 4.957, 91.9
31.4, 2.851, 100.0
36.2, 2.478, 61.5
36.7, 2.451, 29.8
40.7, 2.216, 26.2
41.1, 2.197, 23.5
52.2, 1.753, 21.2
52.5, 1.743, 41.6
62.2, 1.493, 28.1
65.5, 1.426, 21.1

Structure:
```
Cd2NiBiB
1.0
4.9568 0.0000 0.0000
0.0000 4.9568 0.0000
0.0000 0.0000 4.9017
Cd Ni Bi B
2 1 1 1
direct
0.0000 0.5000 0.0000
0.5000 0.0000 0.0000
0.0000 0.0000 0.0000
0.0000 0.0000 0.5000
0.5000 0.5000 0.5000
```



# 2
Computed powder X-ray diffraction pattern of Cd2BiB2O6 for Cu Kα (λ = 1.5418 Å), from a structure optimized by DFT (PBE).
No peak broadening, texture or thermal motion is included.

Most intense lines, 2θ from 10° to 90°, in order of rising 2θ:
2θ/deg, d_spacing, I_rel
12.4, 7.149, 11.3
23.2, 3.832, 100.0
31.9, 2.808, 61.6
34.2, 2.621, 38.1
41.8, 2.163, 27.4
47.5, 1.916, 17.0
51.9, 1.763, 27.6
55.0, 1.668, 23.6
55.2, 1.663, 12.3
59.8, 1.547, 16.8

Structure:
```
Cd2BiB2O6
1.0
5.2414 0.0000 0.0000
-2.6207 4.5392 0.0000
0.0000 0.0000 7.1490
Cd Bi B O
2 1 2 6
direct
0.3333 0.6667 0.3403
0.6667 0.3333 0.6597
0.0000 0.0000 0.0000
0.3333 0.6667 0.7975
0.6667 0.3333 0.2025
0.0772 0.6832 0.7962
0.3168 0.3940 0.7962
0.3940 0.0772 0.2038
0.6060 0.9228 0.7962
0.6832 0.6060 0.2038
0.9228 0.3168 0.2038
```



# 3
Computed powder X-ray diffraction pattern of Cd4BiB3O10 for Cu Kα (λ = 1.5418 Å), from a structure optimized by DFT (PBE).
No peak broadening, texture or thermal motion is included.

Most intense lines, 2θ from 10° to 90°, in order of rising 2θ:
2θ/deg, d_spacing, I_rel
19.9, 4.452, 69.3
24.9, 3.580, 49.9
27.7, 3.219, 21.6
30.0, 2.983, 71.2
30.1, 2.973, 76.3
30.8, 2.906, 100.0
31.6, 2.835, 40.1
34.1, 2.631, 37.1
48.2, 1.888, 36.2
51.6, 1.772, 22.6

Structure:
```
Cd4BiB3O10
1.0
4.0633 -8.0384 0.0000
4.0633 8.0384 0.0000
-0.6336 0.0000 3.5132
Cd Bi B O
4 1 3 10
direct
0.1144 0.8856 0.0000
0.4435 0.8038 0.3224
0.8038 0.4435 0.3224
0.8856 0.1144 0.0000
0.3584 0.3584 0.6749
0.1065 0.5054 0.7557
0.5054 0.1065 0.7557
0.7366 0.7366 0.3783
0.0506 0.5961 0.9591
0.1723 0.1723 0.0915
0.2980 0.5911 0.7615
0.3272 0.9730 0.5548
0.5637 0.5637 0.2660
0.5911 0.2980 0.7615
0.5961 0.0506 0.9591
0.7448 0.8957 0.4330
0.8957 0.7448 0.4330
0.9730 0.3272 0.5548
```



# 4
Computed powder X-ray diffraction pattern of BiBCl2 for Cu Kα (λ = 1.5418 Å), from a structure optimized by DFT (PBE).
No peak broadening, texture or thermal motion is included.

Most intense lines, 2θ from 10° to 90°, in order of rising 2θ:
2θ/deg, d_spacing, I_rel
17.3, 5.132, 59.9
26.0, 3.421, 52.4
30.7, 2.908, 23.2
31.2, 2.870, 100.0
32.8, 2.731, 62.8
34.0, 2.639, 46.7
36.9, 2.433, 54.1
44.8, 2.021, 33.0
54.4, 1.687, 22.4
61.3, 1.513, 28.4

Structure:
```
BiBCl2
1.0
1.6865 0.9737 10.2644
-1.6865 0.9737 10.2644
0.0000 -1.9474 10.2644
Bi B Cl
1 1 2
direct
0.0000 0.0000 0.0000
0.5000 0.5000 0.5000
0.4459 0.4459 0.4459
0.5541 0.5541 0.5541
```



# 5
Computed powder X-ray diffraction pattern of Cu5Bi2B4O14 for Cu Kα (λ = 1.5418 Å), from a structure optimized by DFT (PBE).
No peak broadening, texture or thermal motion is included.

Most intense lines, 2θ from 10° to 90°, in order of rising 2θ:
2θ/deg, d_spacing, I_rel
11.1, 7.994, 100.0
16.4, 5.389, 69.7
17.8, 4.975, 49.4
19.3, 4.602, 41.3
28.2, 3.166, 28.5
29.2, 3.055, 73.7
29.9, 2.986, 27.7
33.2, 2.695, 62.7
34.0, 2.635, 37.2
36.1, 2.489, 65.0

Structure:
```
Cu5Bi2B4O14
1.0
3.6326 0.0000 0.0000
1.3378 9.2375 0.0000
1.5878 3.8109 9.3736
Cu Bi B O
5 2 4 14
direct
0.0000 0.0000 0.0000
0.0000 0.5000 0.5000
0.0609 0.1785 0.6521
0.5000 0.0000 0.5000
0.9391 0.8215 0.3479
0.4907 0.6468 0.1731
0.5093 0.3532 0.8269
0.1503 0.2991 0.3282
0.4993 0.1389 0.1894
0.5007 0.8611 0.8106
0.8497 0.7009 0.6718
0.0290 0.4505 0.3171
0.0618 0.1980 0.8346
0.1268 0.1770 0.4574
0.3004 0.2754 0.2024
0.3417 0.6572 0.3846
0.3796 0.9817 0.6933
0.4259 0.8680 0.9432
0.5741 0.1320 0.0568
0.6204 0.0183 0.3067
0.6583 0.3428 0.6154
0.6996 0.7246 0.7976
0.8732 0.8230 0.5426
0.9382 0.8020 0.1654
0.9710 0.5495 0.6829
```



# 6
Computed powder X-ray diffraction pattern of Dy3BiB2Rh9 for Cu Kα (λ = 1.5418 Å), from a structure optimized by DFT (PBE).
No peak broadening, texture or thermal motion is included.

Most intense lines, 2θ from 10° to 90°, in order of rising 2θ:
2θ/deg, d_spacing, I_rel
17.5, 5.073, 14.8
26.4, 3.382, 20.4
36.8, 2.443, 73.9
39.7, 2.269, 30.5
40.8, 2.214, 100.0
46.7, 1.944, 30.7
63.0, 1.476, 14.7
63.5, 1.464, 29.2
72.8, 1.299, 17.0
77.6, 1.230, 25.3

Structure:
```
Dy3BiB2Rh9
1.0
5.8580 0.0000 0.0000
-2.9290 5.0732 0.0000
0.0000 0.0000 9.0745
Dy Bi B Rh
3 1 2 9
direct
0.0000 0.0000 0.0000
0.3333 0.6667 0.7203
0.6667 0.3333 0.2797
0.0000 0.0000 0.5000
0.3333 0.6667 0.1433
0.6667 0.3333 0.8567
0.0000 0.5000 0.0000
0.1614 0.3227 0.2603
0.1614 0.8386 0.2603
0.3227 0.1614 0.7397
0.5000 0.0000 0.0000
0.5000 0.5000 0.0000
0.6773 0.8386 0.2603
0.8386 0.1614 0.7397
0.8386 0.6773 0.7397
```